# 1
Diffraction record for TmPO4. The powder diffraction line list is computed, not measured: it uses a DFT-relaxed cell (PBE, the Materials Project) and a wavelength of 1.5418 Å.

Crystal structure
```
12
Lattice="-3.4394 3.4394 2.9971 3.4394 -3.4394 2.9971 3.4394 3.4394 -2.9971" Properties=species:S:1:pos:R:3 pbc="T T T"
Tm 3.4394 1.7197 0.7493
Tm 0.0000 1.7197 2.2478
P 3.4394 -1.7197 2.2478
P 0.0000 5.1591 0.7493
O 3.4394 -0.5101 1.2730
O 3.4394 2.9293 -1.2730
O 1.2096 1.7197 0.2256
O 2.2298 -1.7197 3.2227
O 1.2096 5.1591 -0.2256
O 2.2298 1.7197 2.7715
O 0.0000 0.5101 4.2700
O 0.0000 3.9495 1.7241
```

Principal peaks in the range 2θ = 15–90°, low angle first:
| two_theta | I/Imax |
| --- | --- |
| 19.6 | 64 |
| 25.9 | 100 |
| 32.7 | 28 |
| 35.2 | 67 |
| 37.0 | 22 |
| 42.2 | 22 |
| 50.2 | 22 |
| 51.9 | 54 |
| 53.3 | 14 |
| 65.4 | 16 |

# 2
Diffraction record for U2P2O9. The powder diffraction line list is computed, not measured: it uses a DFT-relaxed cell (PBE, the Materials Project) and a wavelength of 1.5418 Å.

Crystal structure
```
26
Lattice="3.5670 -4.5362 0.0000 3.5670 4.5362 0.0000 0.0000 0.0000 12.7727" Properties=species:S:1:pos:R:3 pbc="T T T"
U 3.5670 2.6436 11.8906
U 3.5670 1.8926 5.5043
U 3.5670 -1.8926 7.2684
U 3.5670 -2.6436 0.8821
P 3.5670 3.5449 8.2212
P 3.5670 0.9913 1.8348
P 3.5670 -0.9913 10.9379
P 3.5670 -3.5449 4.5515
O 0.0000 0.0000 0.0000
O 2.3560 2.8674 7.4911
O 3.5670 4.0055 4.8063
O 3.5670 3.2683 9.7195
O 2.3560 1.6688 1.1048
O 4.7781 2.8674 7.4911
O 3.5670 1.2679 3.3331
O 3.5670 0.5308 11.1927
O 4.7781 1.6688 1.1048
O 3.5670 0.0000 6.3864
O 2.3560 -1.6688 11.6679
O 3.5670 -0.5308 1.5800
O 3.5670 -1.2679 9.4396
O 2.3560 -2.8674 5.2816
O 4.7781 -1.6688 11.6679
O 3.5670 -3.2683 3.0533
O 3.5670 -4.0055 7.9664
O 4.7781 -2.8674 5.2816
```

Principal peaks in the range 2θ = 15–90°, low angle first:
| two_theta | I/Imax |
| --- | --- |
| 19.6 | 58 |
| 20.8 | 25 |
| 21.1 | 100 |
| 24.1 | 30 |
| 25.0 | 69 |
| 28.7 | 36 |
| 32.3 | 79 |
| 32.9 | 25 |
| 41.7 | 30 |
| 48.8 | 35 |